Record 1
Tb6Mn3S14: computed powder diffraction line list (λ = 1.5418 Å (Cu Kα)), based on a crystal structure in Alexandria, relaxed with GGA-PBE.

a = 9.5074 Å, b = 9.5074 Å, c = 6.2657 Å
α = 90.00°, β = 90.00°, γ = 120.00°
Space group P3 (No. 143)
One atom of each set of equivalent atoms:
Tb (0.0371, 0.4981, 0.0000) [3 per cell]
Tb (0.2855, 0.1627, 0.4612) [3 per cell]
Mn (0.0000, 0.0000, 0.0453) [1 per cell]
Mn (0.3333, 0.6667, 0.5704) [1 per cell]
Mn (0.6667, 0.3333, 0.6366) [1 per cell]
S (0.0000, 0.0000, 0.6749) [1 per cell]
S (0.1137, 0.2585, 0.2007) [3 per cell]
S (0.2010, 0.7700, 0.7305) [3 per cell]
S (0.3333, 0.6667, 0.2135) [1 per cell]
S (0.4327, 0.2259, 0.8596) [3 per cell]
S (0.5353, 0.0945, 0.4161) [3 per cell]

Principal peaks in the range 10° ≤ 2θ ≤ 80°, by angle:
d (Å), Position (°2θ), intensity
4.986, 17.79, 33
4.117, 21.59, 21
3.441, 25.90, 100
3.133, 28.49, 15
2.514, 35.72, 31
2.493, 36.03, 34
2.377, 37.85, 37
2.208, 40.87, 22
1.956, 46.43, 17
1.894, 48.05, 15
1.863, 48.90, 22
1.809, 50.46, 15



Record 2
Tb2MnS4: computed powder diffraction line list (λ = 1.5418 Å (Cu Kα)), based on a crystal structure in Alexandria, relaxed with GGA-PBE.

a = 11.133 Å, b = 11.133 Å, c = 11.133 Å
α = 90.00°, β = 90.00°, γ = 90.00°
Space group Fd-3m (No. 227, origin choice 2)
One atom of each set of equivalent atoms:
Tb (0.000, 0.000, 0.000) [16 per cell]
Mn (0.125, 0.125, 0.625) [8 per cell]
S (0.003, 0.003, 0.247) [32 per cell]

Principal peaks in the range 10° ≤ 2θ ≤ 80°, by angle:
d (Å), Position (°2θ), intensity
6.428, 13.78, 56
3.357, 26.55, 100
3.214, 27.76, 24
2.783, 32.16, 61
2.554, 35.14, 16
2.143, 42.18, 40
1.968, 46.12, 71
1.882, 48.37, 15
1.698, 54.01, 14
1.607, 57.34, 15
1.449, 64.27, 24
1.245, 76.54, 19



Record 3
TbMnTl2S4: computed powder diffraction line list (λ = 1.5418 Å (Cu Kα)), based on a crystal structure in Alexandria, relaxed with GGA-PBE.

a = 8.073 Å, b = 8.217 Å, c = 11.487 Å
α = 90.00°, β = 90.00°, γ = 90.00°
Space group Imma (No. 74)
One atom of each set of equivalent atoms:
Tb (0.000, 0.000, 0.000) [4 per cell]
Mn (0.250, 0.250, 0.250) [4 per cell]
Tl (0.000, 0.000, 0.500) [4 per cell]
Tl (0.250, 0.250, 0.750) [4 per cell]
S (0.000, 0.047, 0.240) [8 per cell]
S (0.225, 0.250, 0.024) [8 per cell]

Principal peaks in the range 10° ≤ 2θ ≤ 80°, by angle:
d (Å), Position (°2θ), intensity
6.683, 13.25, 10
3.342, 26.68, 44
3.302, 27.00, 41
2.877, 31.09, 100
2.054, 44.08, 12
2.033, 44.56, 47
2.018, 44.91, 12
1.744, 52.46, 18
1.728, 52.98, 22
1.671, 54.96, 12
1.651, 55.66, 12
1.287, 73.60, 10